Starting from a DFT-relaxed cell (GGA-PBE, Alexandria), the powder X-ray diffraction pattern of TlGaSnF6 was computed for CuKα.
Peak positions follow from Bragg's law for the DFT cell and can differ from measured ones.

Cell and atoms:
Lattice parameters (Å, degrees): 5.5140 5.8127 5.8218 60.06 89.94 89.90
Fractional positions:
Tl 0.0000 0.0000 0.0000
Ga 0.4446 0.6666 0.6669
Sn 0.5150 0.3335 0.3334
F 0.2472 0.5544 0.4590
F 0.2475 0.4594 0.9871
F 0.2478 0.9881 0.5544
F 0.6316 0.3592 0.7476
F 0.6325 0.7480 0.8915
F 0.6317 0.8916 0.3599

Largest 8 diffraction maxima, sorted by position, 5° ≤ 2θ ≤ 70°:
index	d [Å]	Position (°2θ)	intensity
0 1 1	5.039	17.6	9
1 1 0	3.720	23.9	100
0 2 1	2.909	30.7	37
1 0 -2	2.292	39.3	34
2 1 2	2.001	45.3	34
1 1 3	1.801	50.7	22
3 1 0	1.727	53.0	12
0 3 3	1.680	54.6	10